This entry pairs a crystal structure of GaP with its simulated powder X-ray diffraction pattern. Radiation: Cu Kα X-rays. Structure: a structure optimized by DFT (GGA-PBE).

Atomic structure:
```
GaP
1.0
4.7076 0.0000 0.0000
0.0000 4.9526 0.0000
0.0000 0.0000 2.8814
Ga P
2 2
direct
0.0000 0.0000 0.0000
0.5000 0.5000 0.5000
0.0000 0.5000 0.8330
0.5000 0.0000 0.3330
```

Peak list (12 most intense, 2θ from 5° to 70°, low angle first)
2θ (°)  I (rel.)  (hkl)
26.12  49  1 1 0
36.06  50  0 1 1
36.28  65  0 2 0
36.56  100  1 0 1
38.24  55  2 0 0
52.46  68  1 2 1
53.57  31  2 1 1
53.73  40  2 2 0
59.32  5  1 3 0
62.04  5  3 1 0
65.12  8  0 3 1
68.03  15  3 0 1